Entry 1:
Structure and theoretical powder X-ray diffraction pattern of Li6Mn3CoO10 (a structure optimized by DFT (PBE+U); copper Kα).
Intensities are scaled so that the largest is 100.

Atomic structure:
```
Li6Mn3CoO10
1.0
12.0727 -1.4534 0.0000
12.0727 1.4534 0.0000
-0.3307 0.0000 5.1158
Li Mn Co O
6 3 1 10
Direct
0.0000 0.0000 0.0000
0.2077 0.2077 0.4100
0.4103 0.4103 0.8252
0.5055 0.5055 0.5212
0.6004 0.6004 0.2309
0.8145 0.8145 0.6485
0.1030 0.1030 0.7160
0.7068 0.7068 0.9153
0.9098 0.9098 0.3429
0.3074 0.3074 0.1275
0.0632 0.0632 0.4069
0.1593 0.1593 0.0419
0.2506 0.2506 0.7683
0.3623 0.3623 0.4716
0.4515 0.4515 0.1932
0.5628 0.5628 0.8634
0.6535 0.6535 0.6026
0.7524 0.7524 0.2325
0.8574 0.8574 0.0156
0.9535 0.9535 0.6518
```

Largest 10 diffraction maxima, low angle first, 2θ from 10° to 90°:
two_theta	I_rel
14.7	9
18.4	100
22.1	10
35.6	14
36.1	25
43.1	29
43.8	59
57.7	9
63.1	38
64.1	8

Entry 2:
Structure and theoretical powder X-ray diffraction pattern of Li5MnCo2O8 (a structure optimized by DFT (PBE+U); copper Kα).
Intensities are scaled so that the largest is 100.

Atomic structure:
```
Li5MnCo2O8
1.0
5.0484 -2.8598 0.0000
5.0484 2.8598 0.0000
-1.6149 0.0000 4.6371
Li Mn Co O
5 1 2 8
Direct
0.0000 0.0000 0.0000
0.0000 0.5000 0.0000
0.2460 0.2460 0.4894
0.5000 0.0000 0.0000
0.7540 0.7540 0.5106
0.5000 0.5000 0.0000
0.2436 0.7564 0.5000
0.7564 0.2436 0.5000
0.1101 0.1101 0.7146
0.1526 0.6231 0.7478
0.3769 0.8474 0.2522
0.3891 0.3891 0.2554
0.6109 0.6109 0.7446
0.6231 0.1526 0.7478
0.8474 0.3769 0.2522
0.8899 0.8899 0.2854
```

Largest 10 diffraction maxima, low angle first, 2θ from 10° to 90°:
two_theta	I_rel
18.1	15
18.6	100
19.1	14
24.1	12
36.9	23
37.1	12
44.6	85
58.7	14
64.2	15
65.7	15

Entry 3:
Structure and theoretical powder X-ray diffraction pattern of Li4MnCo2O7 (a structure optimized by DFT (PBE+U); copper Kα).
Intensities are scaled so that the largest is 100.

Atomic structure:
```
Li4MnCo2O7
1.0
5.0595 0.0000 0.0000
-0.7753 5.0230 0.0000
-1.6376 -2.2297 9.6589
Li Mn Co O
8 2 4 14
Direct
0.0000 0.0000 0.0000
0.0022 0.9928 0.4987
0.1506 0.2763 0.7977
0.2740 0.5775 0.0666
0.4257 0.8594 0.3567
0.5758 0.1392 0.6478
0.7203 0.4256 0.9338
0.8582 0.7145 0.2102
0.5710 0.1429 0.1379
0.8653 0.7122 0.7218
0.1382 0.2836 0.2799
0.2931 0.5563 0.5684
0.4342 0.8539 0.8601
0.7181 0.4283 0.4287
0.0844 0.6278 0.3947
0.0846 0.6503 0.8805
0.2113 0.8960 0.6876
0.2346 0.9615 0.1844
0.3517 0.2231 0.4718
0.3775 0.1925 0.9694
0.5097 0.4801 0.2564
0.5250 0.5253 0.7541
0.6239 0.8091 0.0345
0.6595 0.7590 0.5426
0.7726 0.0339 0.8167
0.7771 0.0942 0.3160
0.9091 0.3481 0.1137
0.9212 0.3744 0.6020
```

Largest 10 diffraction maxima, low angle first, 2θ from 10° to 90°:
two_theta	I_rel
18.4	100
36.0	15
36.3	13
36.8	12
43.4	28
43.8	27
44.5	26
48.0	8
63.7	7
64.4	7

Entry 4:
Structure and theoretical powder X-ray diffraction pattern of Li7Mn4CoO12 (a structure optimized by DFT (PBE+U); copper Kα).
Intensities are scaled so that the largest is 100.

Atomic structure:
```
Li7Mn4CoO12
1.0
5.1781 0.0000 0.0000
0.0000 8.5864 0.0000
-1.9530 0.0000 4.8155
Li Mn Co O
7 4 1 12
Direct
0.0000 0.0000 0.0000
0.0000 0.1599 0.5000
0.0000 0.3324 0.0000
0.0000 0.5000 0.5000
0.0000 0.6676 0.0000
0.0000 0.8401 0.5000
0.5000 0.0000 0.5000
0.5000 0.1672 0.0000
0.5000 0.3294 0.5000
0.5000 0.6706 0.5000
0.5000 0.8328 0.0000
0.5000 0.5000 0.0000
0.2628 0.3331 0.7751
0.2628 0.6669 0.7751
0.2655 0.0000 0.7796
0.2858 0.1733 0.2395
0.2858 0.8267 0.2395
0.2911 0.5000 0.2489
0.7089 0.5000 0.7511
0.7142 0.1733 0.7605
0.7142 0.8267 0.7605
0.7345 0.0000 0.2204
0.7372 0.3331 0.2249
0.7372 0.6669 0.2249
```

Largest 10 diffraction maxima, low angle first, 2θ from 10° to 90°:
two_theta	I_rel
10.3	12
18.5	100
34.8	13
36.5	24
42.0	30
44.5	51
58.7	9
62.7	15
62.9	14
65.2	11

Entry 5:
Structure and theoretical powder X-ray diffraction pattern of Li7Mn2Co3O12 (a structure optimized by DFT (PBE+U); copper Kα).
Intensities are scaled so that the largest is 100.

Atomic structure:
```
Li7Mn2Co3O12
1.0
5.1205 0.0000 0.0000
0.0000 2.9053 0.0000
-0.1532 0.0000 14.3101
Li Mn Co O
7 2 3 12
Direct
0.0000 0.0000 0.0000
0.0000 0.0000 0.5000
0.1478 0.5000 0.1553
0.3351 0.0000 0.8458
0.5000 0.5000 0.5000
0.6649 0.0000 0.1542
0.8522 0.5000 0.8447
0.3227 0.0000 0.3312
0.6773 0.0000 0.6688
0.1768 0.5000 0.6709
0.5000 0.5000 0.0000
0.8232 0.5000 0.3291
0.0075 0.0000 0.2550
0.1812 0.5000 0.4091
0.2061 0.5000 0.9254
0.3524 0.0000 0.0722
0.3572 0.0000 0.5938
0.4595 0.5000 0.2563
0.5405 0.5000 0.7437
0.6428 0.0000 0.4062
0.6476 0.0000 0.9278
0.7939 0.5000 0.0746
0.8188 0.5000 0.5909
0.9925 0.0000 0.7450
```

Largest 10 diffraction maxima, low angle first, 2θ from 10° to 90°:
two_theta	I_rel
12.4	8
18.6	100
35.7	14
36.1	29
43.7	85
48.2	8
57.9	10
63.2	15
63.9	14
64.1	8

Entry 6:
Structure and theoretical powder X-ray diffraction pattern of Li2MnCo3O8 (a structure optimized by DFT (PBE+U); copper Kα).
Intensities are scaled so that the largest is 100.

Atomic structure:
```
Li2MnCo3O8
1.0
4.8910 -2.8450 0.0000
4.8910 2.8450 0.0000
-3.0134 0.0000 4.9304
Li Mn Co O
2 1 3 8
Direct
0.0000 0.5000 0.0000
0.5000 0.0000 0.0000
0.0000 0.0000 0.5000
0.0000 0.5000 0.5000
0.5000 0.0000 0.5000
0.5000 0.5000 0.5000
0.2295 0.2295 0.7093
0.2357 0.7267 0.7014
0.2729 0.2729 0.2960
0.2733 0.7643 0.2987
0.7267 0.2357 0.7014
0.7271 0.7271 0.7040
0.7643 0.2733 0.2987
0.7705 0.7705 0.2907
```

Largest 10 diffraction maxima, low angle first, 2θ from 10° to 90°:
two_theta	I_rel
18.0	100
37.0	9
37.2	21
38.3	6
43.4	17
44.8	32
56.1	6
58.3	9
62.0	9
66.1	9

Entry 7:
Structure and theoretical powder X-ray diffraction pattern of Li7Mn4CoO12 (a structure optimized by DFT (PBE+U); copper Kα).
Intensities are scaled so that the largest is 100.

Atomic structure:
```
Li7Mn4CoO12
1.0
5.9549 0.0000 0.0000
0.0000 2.9467 0.0000
-2.7952 0.0000 12.1813
Li Mn Co O
7 4 1 12
Direct
0.0000 0.0000 0.0000
0.0091 0.5000 0.5048
0.1682 0.0000 0.3356
0.3219 0.5000 0.1546
0.5116 0.0000 0.0018
0.6853 0.5000 0.8475
0.8463 0.0000 0.6696
0.1738 0.5000 0.8433
0.4940 0.5000 0.5060
0.6765 0.0000 0.3387
0.8452 0.5000 0.1631
0.3343 0.0000 0.6721
0.0633 0.0000 0.1681
0.1218 0.5000 0.6789
0.2532 0.5000 0.9892
0.2592 0.0000 0.5131
0.3951 0.0000 0.8301
0.4308 0.5000 0.3470
0.5548 0.5000 0.6658
0.6143 0.0000 0.1787
0.7443 0.0000 0.4984
0.7575 0.5000 0.0135
0.9117 0.5000 0.3288
0.9550 0.0000 0.8328
```

Largest 10 diffraction maxima, low angle first, 2θ from 10° to 90°:
two_theta	I_rel
18.3	100
35.8	27
36.7	11
37.7	9
43.2	60
44.6	26
56.9	9
63.5	15
64.2	14
80.6	10

Entry 8:
Structure and theoretical powder X-ray diffraction pattern of Li5Mn2CoO8 (a structure optimized by DFT (PBE+U); copper Kα).
Intensities are scaled so that the largest is 100.

Atomic structure:
```
Li5Mn2CoO8
1.0
5.0511 -2.8852 0.0000
5.0511 2.8852 0.0000
-1.5859 0.0000 4.6891
Li Mn Co O
5 2 1 8
Direct
0.0000 0.0000 0.0000
0.0000 0.5000 0.0000
0.2488 0.2488 0.4954
0.5000 0.0000 0.0000
0.7512 0.7512 0.5046
0.2463 0.7537 0.5000
0.7537 0.2463 0.5000
0.5000 0.5000 0.0000
0.1130 0.1130 0.7184
0.1522 0.6244 0.7479
0.3756 0.8478 0.2521
0.3900 0.3900 0.2577
0.6100 0.6100 0.7423
0.6244 0.1522 0.7479
0.8478 0.3756 0.2521
0.8870 0.8870 0.2816
```

Largest 10 diffraction maxima, low angle first, 2θ from 10° to 90°:
two_theta	I_rel
18.0	22
18.5	100
23.9	15
36.6	24
36.9	11
44.2	60
44.6	29
48.4	10
64.0	16
65.1	15

Entry 9:
Structure and theoretical powder X-ray diffraction pattern of Li7Mn2Co3O12 (a structure optimized by DFT (PBE+U); copper Kα).
Intensities are scaled so that the largest is 100.

Atomic structure:
```
Li7Mn2Co3O12
1.0
2.8770 0.0000 0.0000
-1.4385 2.4916 0.0000
0.0000 0.0000 29.3014
Li Mn Co O
7 2 3 12
Direct
0.0000 0.0000 0.0000
0.0000 0.0000 0.2479
0.0000 0.0000 0.4974
0.3333 0.6667 0.1613
0.3333 0.6667 0.6575
0.6667 0.3333 0.3341
0.6667 0.3333 0.8296
0.0000 0.0000 0.7447
0.3333 0.6667 0.9132
0.3333 0.6667 0.4189
0.6667 0.3333 0.0764
0.6667 0.3333 0.5791
0.0000 0.0000 0.1101
0.0000 0.0000 0.3854
0.0000 0.0000 0.6143
0.0000 0.0000 0.8762
0.3333 0.6667 0.0406
0.3333 0.6667 0.2936
0.3333 0.6667 0.5448
0.3333 0.6667 0.7849
0.6667 0.3333 0.2021
0.6667 0.3333 0.4542
0.6667 0.3333 0.7055
0.6667 0.3333 0.9493
```

Largest 10 diffraction maxima, low angle first, 2θ from 10° to 90°:
two_theta	I_rel
18.2	100
36.6	39
38.2	11
44.0	81
47.9	16
57.5	13
63.0	22
64.8	22
67.9	13
81.6	10

Entry 10:
Structure and theoretical powder X-ray diffraction pattern of Li5Mn2CoO8 (a structure optimized by DFT (PBE+U); copper Kα).
Intensities are scaled so that the largest is 100.

Atomic structure:
```
Li5Mn2CoO8
1.0
5.1799 0.0000 0.0000
0.0000 2.9049 0.0000
-1.6290 0.0000 9.6392
Li Mn Co O
5 2 1 8
Direct
0.0000 0.0000 0.0000
0.0062 0.5000 0.4919
0.2796 0.5000 0.2554
0.4978 0.0000 0.4711
0.7727 0.5000 0.7243
0.2588 0.0000 0.7342
0.5097 0.5000 0.9927
0.7987 0.0000 0.2625
0.1257 0.0000 0.3542
0.1710 0.5000 0.8596
0.3860 0.5000 0.6346
0.3887 0.0000 0.0957
0.6106 0.0000 0.8761
0.6417 0.5000 0.3587
0.8398 0.5000 0.1070
0.9340 0.0000 0.6332
```

Largest 10 diffraction maxima, low angle first, 2θ from 10° to 90°:
two_theta	I_rel
18.3	100
18.4	11
27.8	12
35.4	11
36.1	28
42.7	29
43.7	60
57.6	9
62.6	15
63.0	21